Structure and theoretical X-ray diffraction stick pattern of Tb2SO2 (a GGA-PBE-relaxed structure; Cu Kα).
Lines closer than 0.1° are merged.

Crystal structure
```
data_Tb2SO2
_cell_length_a 3.8326
_cell_length_b 3.8326
_cell_length_c 6.6459
_cell_angle_alpha 90.00
_cell_angle_beta 90.00
_cell_angle_gamma 120.00
_symmetry_space_group_name_H-M 'P -3 m 1'
_symmetry_Int_Tables_number 164
_symmetry_space_group_name_Hall '-P 3 2"'
loop_
_atom_site_label
_atom_site_type_symbol
_atom_site_fract_x
_atom_site_fract_y
_atom_site_fract_z
Tb1 Tb 0.3333 0.6667 0.2821
S1 S 0.0000 0.0000 0.0000
O1 O 0.3333 0.6667 0.6294
```

Main lines, low angle first (2θ from 5° to 70°):
- 26.84 deg, I 42, hkl 0 0 2
- 30.09 deg, I 100, hkl 0 1 1
- 38.33 deg, I 30, hkl 1 0 2
- 40.73 deg, I 6, hkl 0 0 3
- 47.44 deg, I 31, hkl 1 1 0
- 49.47 deg, I 25, hkl 0 1 3
- 55.34 deg, I 24, hkl 1 1 2
- 57.21 deg, I 17, hkl 2 0 1
- 62.54 deg, I 15, hkl 1 0 4
- 64.27 deg, I 9, hkl 1 1 3


Structure and theoretical X-ray diffraction stick pattern of Tb2S3O20 (a GGA-PBE-relaxed structure; Cu Kα).
Lines closer than 0.1° are merged.

Crystal structure
```
data_Tb2S3O20
_cell_length_a 13.412
_cell_length_b 6.651
_cell_length_c 18.355
_cell_angle_alpha 90.00
_cell_angle_beta 98.64
_cell_angle_gamma 90.00
_symmetry_space_group_name_H-M 'C 1 2/c 1'
_symmetry_Int_Tables_number 15
loop_
_symmetry_equiv_pos_as_xyz
'x,y,z'
'-x,-y,-z'
'-x,y,-z+1/2'
'x,-y,z+1/2'
'x+1/2,y+1/2,z'
'-x+1/2,-y+1/2,-z'
'-x+1/2,y+1/2,-z+1/2'
'x+1/2,-y+1/2,z+1/2'
loop_
_atom_site_label
_atom_site_type_symbol
_atom_site_fract_x
_atom_site_fract_y
_atom_site_fract_z
Tb1 Tb 0.170 0.018 0.393
S1 S 0.000 0.290 0.250
S2 S 0.215 0.028 0.090
O1 O 0.006 0.116 0.626
O2 O 0.031 0.167 0.433
O3 O 0.036 0.425 0.194
O4 O 0.083 0.161 0.287
O5 O 0.147 0.039 0.146
O6 O 0.152 0.456 0.572
O7 O 0.164 0.068 0.014
O8 O 0.189 0.462 0.183
O9 O 0.204 0.320 0.888
O10 O 0.235 0.327 0.409
```

Main lines, low angle first (2θ from 5° to 70°):
- 13.36 deg, I 46, hkl 2 0 0
- 14.90 deg, I 59, hkl 1 1 0
- 15.33 deg, I 100, hkl 2 0 -2
- 18.38 deg, I 79, hkl 1 1 2
- 19.57 deg, I 63, hkl 0 0 4
- 24.18 deg, I 59, hkl 3 1 0
- 25.42 deg, I 39, hkl 2 0 4
- 26.81 deg, I 37, hkl 0 2 0
- 30.06 deg, I 32, hkl 2 2 0
- 36.45 deg, I 35, hkl 5 1 -2


Structure and theoretical X-ray diffraction stick pattern of TeSO5 (a GGA-PBE-relaxed structure; Cu Kα).
Lines closer than 0.1° are merged.

Crystal structure
```
data_TeSO5
_cell_length_a 8.414
_cell_length_b 8.627
_cell_length_c 12.077
_cell_angle_alpha 82.79
_cell_angle_beta 69.83
_cell_angle_gamma 82.08
_symmetry_space_group_name_H-M 'P -1'
_symmetry_Int_Tables_number 2
loop_
_symmetry_equiv_pos_as_xyz
'x,y,z'
'-x,-y,-z'
loop_
_atom_site_label
_atom_site_type_symbol
_atom_site_fract_x
_atom_site_fract_y
_atom_site_fract_z
Te1 Te 0.046 0.221 0.229
Te2 Te 0.079 0.822 0.158
Te3 Te 0.394 0.258 0.345
Te4 Te 0.440 0.686 0.259
S1 S 0.184 0.347 0.603
S2 S 0.230 0.832 0.521
S3 S 0.244 0.389 0.959
S4 S 0.312 0.901 0.879
O1 O 0.036 0.855 0.588
O2 O 0.081 0.484 0.656
O3 O 0.105 0.196 0.672
O4 O 0.134 0.925 0.877
O5 O 0.135 0.001 0.215
O6 O 0.171 0.341 0.479
O7 O 0.176 0.526 0.026
O8 O 0.194 0.239 0.040
O9 O 0.201 0.383 0.853
O10 O 0.234 0.683 0.220
O11 O 0.250 0.276 0.247
O12 O 0.253 0.702 0.442
O13 O 0.286 0.975 0.448
O14 O 0.304 0.879 0.008
O15 O 0.308 0.783 0.614
O16 O 0.365 0.327 0.589
O17 O 0.396 0.747 0.827
O18 O 0.414 0.027 0.816
O19 O 0.443 0.373 0.918
O20 O 0.451 0.470 0.315
```

Main lines, low angle first (2θ from 5° to 70°):
- 15.71 deg, I 51, hkl 0 0 2
- 20.87 deg, I 46, hkl 0 2 0
- 22.87 deg, I 100, hkl 2 0 2
- 25.09 deg, I 19, hkl 0 2 2
- 25.84 deg, I 15, hkl 1 2 -1
- 29.53 deg, I 18, hkl 1 0 -3
- 31.09 deg, I 14, hkl -1 1 3
- 31.67 deg, I 14, hkl 1 1 -3
- 32.42 deg, I 15, hkl 3 0 1
- 37.79 deg, I 22, hkl 1 1 5


Structure and theoretical X-ray diffraction stick pattern of ThSO6 (a GGA-PBE-relaxed structure; Cu Kα).
Lines closer than 0.1° are merged.

Crystal structure
```
data_ThSO6
_cell_length_a 11.947
_cell_length_b 6.326
_cell_length_c 7.364
_cell_angle_alpha 90.00
_cell_angle_beta 90.00
_cell_angle_gamma 90.00
_symmetry_space_group_name_H-M 'P n m a'
_symmetry_Int_Tables_number 62
loop_
_symmetry_equiv_pos_as_xyz
'x,y,z'
'-x,-y,-z'
'-x+1/2,-y,z+1/2'
'x+1/2,y,-z+1/2'
'x+1/2,-y+1/2,-z+1/2'
'-x+1/2,y+1/2,z+1/2'
'-x,y+1/2,-z'
'x,-y+1/2,z'
loop_
_atom_site_label
_atom_site_type_symbol
_atom_site_fract_x
_atom_site_fract_y
_atom_site_fract_z
Th1 Th 0.077 0.250 0.173
S1 S 0.138 0.750 0.445
O1 O 0.029 0.750 0.544
O2 O 0.052 0.501 0.941
O3 O 0.148 0.559 0.330
O4 O 0.231 0.750 0.580
```

Main lines, low angle first (2θ from 5° to 70°):
- 14.83 deg, I 46, hkl 2 0 0
- 18.49 deg, I 100, hkl 0 1 1
- 19.13 deg, I 99, hkl 2 0 1
- 19.94 deg, I 48, hkl 1 1 1
- 20.45 deg, I 34, hkl 2 1 0
- 23.78 deg, I 41, hkl 2 1 1
- 29.04 deg, I 58, hkl 1 1 2
- 33.16 deg, I 47, hkl 4 1 0
- 34.31 deg, I 31, hkl 2 2 1
- 47.53 deg, I 43, hkl 1 2 3


Structure and theoretical X-ray diffraction stick pattern of Ti2S3O12 (a GGA-PBE-relaxed structure; Cu Kα).
Lines closer than 0.1° are merged.

Crystal structure
```
data_Ti2S3O12
_cell_length_a 8.5849
_cell_length_b 8.5849
_cell_length_c 22.5323
_cell_angle_alpha 90.00
_cell_angle_beta 90.00
_cell_angle_gamma 120.00
_symmetry_space_group_name_H-M 'R -3'
_symmetry_Int_Tables_number 148
_symmetry_space_group_name_Hall '-R 3'
loop_
_atom_site_label
_atom_site_type_symbol
_atom_site_fract_x
_atom_site_fract_y
_atom_site_fract_z
Ti1 Ti 0.0000 0.0000 0.1445
Ti2 Ti 0.0000 0.0000 0.3515
S1 S 0.0008 0.2880 0.7499
O1 O 0.0090 0.1959 0.0902
O2 O 0.0153 0.8110 0.1944
O3 O 0.0596 0.2150 0.7003
O4 O 0.0640 0.2206 0.4034
```

Main lines, low angle first (2θ from 5° to 70°):
- 14.27 deg, I 44, hkl 0 1 2
- 19.77 deg, I 30, hkl 1 0 4
- 23.88 deg, I 100, hkl 2 -1 3
- 28.77 deg, I 30, hkl 0 2 4
- 31.66 deg, I 33, hkl 1 1 6
- 32.10 deg, I 12, hkl 3 -1 1
- 36.25 deg, I 10, hkl 3 0 0
- 48.88 deg, I 10, hkl 2 2 6
- 52.02 deg, I 12, hkl 2 1 10
- 56.74 deg, I 9, hkl 1 4 0